Diffraction record for ScCrCl2. The powder diffractogram is simulated, not measured: it uses DFT lattice parameters and positions (GGA-PBE) and Cu Kα X-rays.
No peak broadening, texture or thermal motion is included.

Atomic structure:
a = 9.2123 Å, b = 9.2123 Å, c = 9.2123 Å
α = 20.78°, β = 20.78°, γ = 20.78°
Positions (direct):
Sc: 0.0000 0.0000 0.0000
Cr: 0.2520 0.2520 0.2520
Cl: 0.5333 0.5333 0.5333
Cl: 0.7296 0.7296 0.7296

Main lines, by angle (2θ from 10° to 90°):
19.71°, I = 22.7; 33.85°, I = 100.0; 39.03°, I = 27.1; 41.20°, I = 30.1; 48.73°, I = 23.7; 55.29°, I = 25.3

***

Diffraction record for Th2CrSe2Cl4. The powder diffractogram is simulated, not measured: it uses DFT lattice parameters and positions (GGA-PBE) and Cu Kα X-rays.
No peak broadening, texture or thermal motion is included.

Atomic structure:
a = 3.6142 Å, b = 3.6142 Å, c = 22.4925 Å
α = 90.00°, β = 90.00°, γ = 120.00°
Positions (direct):
Th: 0.0000 0.0000 0.0000
Th: 0.3333 0.6667 0.3427
Cr: 0.3333 0.6667 0.6805
Se: 0.0000 0.0000 0.6141
Se: 0.0000 0.0000 0.7469
Cl: 0.0000 0.0000 0.2531
Cl: 0.0000 0.0000 0.4316
Cl: 0.3333 0.6667 0.0895
Cl: 0.3333 0.6667 0.9112

Main lines, by angle (2θ from 10° to 90°):
11.80°, I = 100.0; 28.52°, I = 24.1; 29.63°, I = 19.9; 32.75°, I = 34.4; 34.92°, I = 34.1; 40.22°, I = 20.3

***

Diffraction record for CrSn3Cl8. The powder diffractogram is simulated, not measured: it uses DFT lattice parameters and positions (GGA-PBE) and Cu Kα X-rays.
No peak broadening, texture or thermal motion is included.

Atomic structure:
a = 8.4793 Å, b = 8.4793 Å, c = 11.7638 Å
α = 90.00°, β = 90.00°, γ = 120.00°
Positions (direct):
Cr: 0.3333 0.6667 0.0000
Cr: 0.6667 0.3333 0.5000
Sn: 0.1683 0.3366 0.7214
Sn: 0.1683 0.8317 0.7214
Sn: 0.3366 0.1683 0.2214
Sn: 0.6634 0.8317 0.7214
Sn: 0.8317 0.1683 0.2214
Sn: 0.8317 0.6634 0.2214
Cl: 0.0000 0.0000 0.3519
Cl: 0.0000 0.0000 0.8519
Cl: 0.0590 0.5295 0.8684
Cl: 0.1911 0.3821 0.1140
Cl: 0.1911 0.8089 0.1140
Cl: 0.3333 0.6667 0.5936
Cl: 0.3821 0.1911 0.6140
Cl: 0.4705 0.5295 0.8684
Cl: 0.4705 0.9410 0.8684
Cl: 0.5295 0.0590 0.3684
Cl: 0.5295 0.4705 0.3684
Cl: 0.6179 0.8089 0.1140
Cl: 0.6667 0.3333 0.0936
Cl: 0.8089 0.1911 0.6140
Cl: 0.8089 0.6179 0.6140
Cl: 0.9410 0.4705 0.3684

Main lines, by angle (2θ from 10° to 90°):
14.22°, I = 89.2; 15.06°, I = 71.4; 25.41°, I = 75.6; 28.66°, I = 84.8; 33.43°, I = 100.0; 42.65°, I = 70.1